Entry 1:
Starting from a DFT-relaxed cell (GGA-PBE, Alexandria), the powder diffractogram of Hf4MnIn3 was simulated for Cu Kα.
Intensities are scaled so that the largest is 1000.

Cell and atoms:
a b c (Å): 3.130 3.130 16.639
angles (deg): 90.00 90.00 90.00
Space group P4/mmm (No. 123)
Asymmetric unit:
Hf: 0.000 0.000 0.092 (multiplicity 2)
Hf: 0.000 0.000 0.366 (multiplicity 2)
Mn: 0.500 0.500 0.000 (multiplicity 1)
In: 0.500 0.500 0.234 (multiplicity 2)
In: 0.500 0.500 0.500 (multiplicity 1)

Largest 6 diffraction maxima, most intense first, 15 to 90 degrees two-theta:
2theta, intensity, hkl
35.9, 1000, 1 0 4
40.8, 458, 1 1 0
71.1, 268, 2 1 4
32.9, 169, 1 0 3
56.8, 157, 1 1 7
68.9, 156, 1 0 11

Entry 2:
Starting from a DFT-relaxed cell (GGA-PBE, Alexandria), the powder diffractogram of Np4UP5 was simulated for Cu Kα.
Intensities are scaled so that the largest is 1000.

Cell and atoms:
a b c (Å): 3.918 5.588 19.894
angles (deg): 90.00 90.00 90.00
Space group Immm (No. 71)
Asymmetric unit:
Np: 0.000 0.000 0.100 (multiplicity 4)
Np: 0.000 0.000 0.300 (multiplicity 4)
U: 0.000 0.000 0.500 (multiplicity 2)
P: 0.000 0.500 0.100 (multiplicity 4)
P: 0.000 0.500 0.300 (multiplicity 4)
P: 0.000 0.500 0.500 (multiplicity 2)

Largest 6 diffraction maxima, most intense first, 15 to 90 degrees two-theta:
2theta, intensity, hkl
32.1, 1000, 1 0 5
27.5, 562, 0 1 5
27.8, 548, 1 1 0
46.0, 497, 1 2 5
76.2, 232, 2 2 10
54.3, 186, 1 1 10

Entry 3:
Starting from a DFT-relaxed cell (GGA-PBE, Alexandria), the powder diffractogram of Cu3Pd13S7 was simulated for Cu Kα.
Intensities are scaled so that the largest is 1000.

Cell and atoms:
a b c (Å): 12.7716 12.7716 7.7201
angles (deg): 90.00 90.00 120.00
Space group R3m (No. 160, hexagonal axes)
Asymmetric unit:
Cu: 0.0768 0.1537 0.0000 (multiplicity 9)
Pd: 0.0000 0.0000 0.2920 (multiplicity 3)
Pd: 0.0287 0.3927 0.4684 (multiplicity 18)
Pd: 0.0817 0.1634 0.5766 (multiplicity 9)
Pd: 0.1932 0.3864 0.1230 (multiplicity 9)
S: 0.0000 0.0000 0.7732 (multiplicity 3)
S: 0.0004 0.5002 0.0758 (multiplicity 9)
S: 0.2050 0.1025 0.1722 (multiplicity 9)

Largest 6 diffraction maxima, most intense first, 15 to 90 degrees two-theta:
2theta, intensity, hkl
37.3, 1000, 3 2 1
40.1, 626, 0 4 2
37.4, 577, 3 1 2
37.7, 559, 1 1 3
34.5, 511, 4 0 1
24.2, 481, 3 0 0

Entry 4:
Starting from a DFT-relaxed cell (GGA-PBE, Alexandria), the powder diffractogram of Pm4Be2Ge5 was simulated for Cu Kα.
Intensities are scaled so that the largest is 1000.

Cell and atoms:
a b c (Å): 6.987 4.260 7.940
angles (deg): 90.00 92.01 90.00
Space group P2/m (No. 10)
Asymmetric unit:
Pm: 0.229 0.000 0.134 (multiplicity 2)
Pm: 0.262 0.000 0.631 (multiplicity 2)
Be: 0.075 0.500 0.386 (multiplicity 2)
Ge: 0.099 0.500 0.866 (multiplicity 2)
Ge: 0.401 0.500 0.363 (multiplicity 2)
Ge: 0.500 0.500 0.000 (multiplicity 1)

Largest 6 diffraction maxima, most intense first, 15 to 90 degrees two-theta:
2theta, intensity, hkl
33.1, 1000, 1 1 -2
33.7, 367, 1 1 2
25.5, 206, 2 0 0
42.4, 192, 0 2 0
26.2, 163, 1 0 2
44.4, 150, 3 0 -2

Entry 5:
Starting from a DFT-relaxed cell (GGA-PBE, Alexandria), the powder diffractogram of HoCd6Ag6 was simulated for Cu Kα.
Intensities are scaled so that the largest is 1000.

Cell and atoms:
a b c (Å): 5.6739 5.6739 9.7319
angles (deg): 90.00 90.00 120.00
Space group P6/mmm (No. 191)
Asymmetric unit:
Ho: 0.0000 0.0000 0.0000 (multiplicity 1)
Cd: 0.0000 0.0000 0.3468 (multiplicity 2)
Cd: 0.3333 0.6667 0.0000 (multiplicity 2)
Cd: 0.3333 0.6667 0.5000 (multiplicity 2)
Ag: 0.0000 0.5000 0.2453 (multiplicity 6)

Largest 6 diffraction maxima, most intense first, 15 to 90 degrees two-theta:
2theta, intensity, hkl
36.6, 1000, 2 0 0
41.2, 511, 2 0 2
31.5, 314, 1 1 0
33.1, 230, 1 0 3
36.9, 217, 0 0 4
65.8, 208, 2 2 0

Entry 6:
Starting from a DFT-relaxed cell (GGA-PBE, Alexandria), the powder diffractogram of K3Hf3MnS8 was simulated for Cu Kα.
Intensities are scaled so that the largest is 1000.

Cell and atoms:
a b c (Å): 12.893 7.436 8.628
angles (deg): 90.00 119.90 90.00
Space group C2/m (No. 12)
Asymmetric unit:
K: 0.000 0.000 0.000 (multiplicity 2)
K: 0.250 0.250 0.000 (multiplicity 4)
Hf: 0.000 0.500 0.500 (multiplicity 2)
Hf: 0.250 0.250 0.500 (multiplicity 4)
Mn: 0.000 0.000 0.500 (multiplicity 2)
S: 0.021 0.255 0.310 (multiplicity 8)
S: 0.232 0.500 0.696 (multiplicity 4)
S: 0.233 0.000 0.691 (multiplicity 4)

Largest 6 diffraction maxima, most intense first, 15 to 90 degrees two-theta:
2theta, intensity, hkl
32.0, 1000, 4 0 0
42.7, 376, 2 2 2
28.8, 290, 2 2 0
28.0, 287, 4 0 -1
39.7, 273, 4 0 1
49.0, 223, 6 2 -2

Entry 7:
Starting from a DFT-relaxed cell (GGA-PBE, Alexandria), the powder diffractogram of HfReSe2N was simulated for Cu Kα.
Intensities are scaled so that the largest is 1000.

Cell and atoms:
a b c (Å): 5.073 5.073 3.700
angles (deg): 90.00 90.00 90.00
Space group P4/mmm (No. 123)
Asymmetric unit:
Hf: 0.000 0.000 0.000 (multiplicity 1)
Re: 0.500 0.500 0.500 (multiplicity 1)
Se: 0.000 0.500 0.500 (multiplicity 2)
N: 0.500 0.500 0.000 (multiplicity 1)

Largest 6 diffraction maxima, most intense first, 15 to 90 degrees two-theta:
2theta, intensity, hkl
29.9, 1000, 1 0 1
35.4, 765, 2 0 0
47.0, 593, 2 1 1
24.8, 303, 1 1 0
62.1, 296, 2 0 2
50.9, 270, 2 2 0